For RbSnO3, DFT lattice parameters and positions (PBE) gives the theoretical XRD peak list in this record (Cu Kα).
Intensities are scaled so that the largest is 100.

abc: 4.201 4.201 4.201
angles: 90.00 90.00 90.00
Element x y z (fractional)
1 Rb 0.000 0.000 0.000
2 Sn 0.500 0.500 0.500
3 O 0.000 0.500 0.500
4 O 0.500 0.000 0.500
5 O 0.500 0.500 0.000

Most intense lines, 10 to 90 degrees two-theta, sorted by position:
| 2θ (°) | I/Imax | h k l |
| --- | --- | --- |
| 21.15 | 9 | 1 0 0 |
| 30.09 | 100 | 1 1 0 |
| 43.07 | 34 | 2 0 0 |
| 53.43 | 42 | 2 1 1 |
| 62.54 | 21 | 2 2 0 |
| 70.95 | 19 | 3 1 0 |
| 78.95 | 7 | 2 2 2 |
| 86.74 | 23 | 3 2 1 |